Starting from a GGA-PBE-relaxed structure, the X-ray diffraction stick pattern of ZrAlPtRh was computed for Cu Ka.
Kinematic intensities with the Lorentz-polarization factor, no thermal factor.

Crystal structure
a = 4.7745 Å, b = 4.7745 Å, c = 4.7745 Å
α = 128.21°, β = 128.21°, γ = 76.28°
Positions (direct):
Zr (0.0000, 0.0000, 0.0000)
Al (0.5000, 0.5000, 0.0000)
Pt (0.2500, 0.7500, 0.5000)
Rh (0.7500, 0.2500, 0.5000)

Main lines, low angle first (2θ = 5–70°):
2θ/deg  Rel. int.
23.69  16
24.42  22
30.31  17
38.83  100
43.40  36
48.48  13
50.04  9
50.42  7
63.05  12
67.08  20

---

Starting from a GGA-PBE-relaxed structure, the X-ray diffraction stick pattern of Al4Ru3Pt was computed for Cu Ka.
Kinematic intensities with the Lorentz-polarization factor, no thermal factor.

Crystal structure
a = 3.0748 Å, b = 4.2208 Å, c = 8.4700 Å
α = 90.00°, β = 90.00°, γ = 90.00°
Positions (direct):
Al (0.0000, 0.0000, 0.0000)
Al (0.0000, 0.0000, 0.5000)
Al (0.0000, 0.5000, 0.2412)
Al (0.0000, 0.5000, 0.7588)
Ru (0.5000, 0.0000, 0.2553)
Ru (0.5000, 0.0000, 0.7447)
Ru (0.5000, 0.5000, 0.0000)
Pt (0.5000, 0.5000, 0.5000)

Main lines, low angle first (2θ = 5–70°):
2θ/deg  Rel. int.
10.44  15
29.04  29
29.89  53
42.16  100
42.70  24
42.85  24
52.47  11
52.60  11
62.09  16
68.65  10

---

Starting from a GGA-PBE-relaxed structure, the X-ray diffraction stick pattern of Sr2AlSbPt6 was computed for Cu Ka.
Kinematic intensities with the Lorentz-polarization factor, no thermal factor.

Crystal structure
a = 6.8621 Å, b = 6.8621 Å, c = 8.6688 Å
α = 128.07°, β = 128.07°, γ = 48.38°
Positions (direct):
Sr (0.2444, 0.2444, 0.2896)
Sr (0.7556, 0.7556, 0.7104)
Al (0.5000, 0.5000, 0.0000)
Sb (0.0000, 0.0000, 0.5000)
Pt (0.2358, 0.7254, 0.2262)
Pt (0.2553, 0.2553, 0.8923)
Pt (0.2746, 0.7642, 0.7738)
Pt (0.7254, 0.2358, 0.2262)
Pt (0.7447, 0.7447, 0.1077)
Pt (0.7642, 0.2746, 0.7738)

Main lines, low angle first (2θ = 5–70°):
2θ/deg  Rel. int.
13.86  31
14.18  60
20.50  46
27.91  94
28.58  39
37.46  100
38.16  72
39.04  86
42.85  34
43.30  32

---

Starting from a GGA-PBE-relaxed structure, the X-ray diffraction stick pattern of Sc2AlPt3 was computed for Cu Ka.
Kinematic intensities with the Lorentz-polarization factor, no thermal factor.

Crystal structure
a = 5.1145 Å, b = 5.1145 Å, c = 5.1145 Å
α = 64.14°, β = 64.14°, γ = 64.14°
Positions (direct):
Sc (0.1278, 0.1278, 0.1278)
Sc (0.8722, 0.8722, 0.8722)
Al (0.5000, 0.5000, 0.5000)
Pt (0.0000, 0.5000, 0.5000)
Pt (0.5000, 0.0000, 0.5000)
Pt (0.5000, 0.5000, 0.0000)

Main lines, low angle first (2θ = 5–70°):
2θ/deg  Rel. int.
20.25  34
22.00  88
23.95  26
35.23  23
39.02  100
40.00  40
41.17  83
49.03  38
54.35  26
69.19  24